[1]
# K2In
Theoretical X-ray diffraction stick pattern, a wavelength of 1.5418 Å. Input: a PBE-relaxed structure.

Crystal structure
Cell lengths 14.336, 4.167, 10.288 Å; angles 90.00, 110.77, 90.00 degrees
Element x y z (fractional)
K (0.024, 0.000, 0.190)
K (0.172, 0.500, 0.641)
K (0.328, 0.000, 0.359)
K (0.476, 0.500, 0.810)
K (0.524, 0.500, 0.190)
K (0.672, 0.000, 0.641)
K (0.828, 0.500, 0.359)
K (0.976, 0.000, 0.810)
In (0.192, 0.500, 0.047)
In (0.308, 0.000, 0.953)
In (0.692, 0.000, 0.047)
In (0.808, 0.500, 0.953)

Main lines, in order of falling intensity (2θ = 10–90°):
2θ (°), intensity
29.31, 1000
27.55, 822
13.19, 679
26.36, 655
34.01, 456
28.51, 438

---

[2]
# K12In
Theoretical X-ray diffraction stick pattern, a wavelength of 1.5418 Å. Input: a PBE-relaxed structure.

Crystal structure
Cell lengths 10.306, 10.306, 10.306 Å; angles 109.47, 109.47, 109.47 degrees
Element x y z (fractional)
K (0.129, 0.302, 0.827)
K (0.173, 0.475, 0.302)
K (0.173, 0.871, 0.698)
K (0.302, 0.173, 0.475)
K (0.302, 0.827, 0.129)
K (0.475, 0.302, 0.173)
K (0.525, 0.698, 0.827)
K (0.698, 0.173, 0.871)
K (0.698, 0.827, 0.525)
K (0.827, 0.129, 0.302)
K (0.827, 0.525, 0.698)
K (0.871, 0.698, 0.173)
In (0.000, 0.000, 0.000)

Main lines, in order of falling intensity (2θ = 10–90°):
2θ (°), intensity
28.06, 1000
23.64, 990
10.51, 550
25.94, 407
47.07, 376
44.39, 340

---

[3]
# K2In17
Theoretical X-ray diffraction stick pattern, a wavelength of 1.5418 Å. Input: a PBE-relaxed structure.

Crystal structure
Cell lengths 8.345, 8.345, 8.345 Å; angles 81.84, 81.84, 81.84 degrees
Element x y z (fractional)
K (0.161, 0.161, 0.161)
K (0.839, 0.839, 0.839)
In (0.000, 0.500, 0.500)
In (0.141, 0.141, 0.650)
In (0.141, 0.650, 0.141)
In (0.206, 0.500, 0.794)
In (0.206, 0.794, 0.500)
In (0.350, 0.859, 0.859)
In (0.401, 0.401, 0.401)
In (0.500, 0.000, 0.500)
In (0.500, 0.206, 0.794)
In (0.500, 0.500, 0.000)
In (0.500, 0.794, 0.206)
In (0.599, 0.599, 0.599)
In (0.650, 0.141, 0.141)
In (0.794, 0.206, 0.500)
In (0.794, 0.500, 0.206)
In (0.859, 0.350, 0.859)
In (0.859, 0.859, 0.350)

Main lines, in order of falling intensity (2θ = 10–90°):
2θ (°), intensity
32.78, 1000
36.78, 881
33.26, 261
58.52, 243
16.22, 241
28.83, 181

---

[4]
# K8In11
Theoretical X-ray diffraction stick pattern, a wavelength of 1.5418 Å. Input: a PBE-relaxed structure.

Crystal structure
Cell lengths 17.990, 17.990, 17.990 Å; angles 32.44, 32.44, 32.44 degrees
Element x y z (fractional)
K (0.079, 0.079, 0.079)
K (0.090, 0.323, 0.651)
K (0.151, 0.823, 0.590)
K (0.177, 0.410, 0.849)
K (0.323, 0.651, 0.090)
K (0.349, 0.910, 0.677)
K (0.410, 0.849, 0.177)
K (0.421, 0.421, 0.421)
K (0.579, 0.579, 0.579)
K (0.590, 0.151, 0.823)
K (0.651, 0.090, 0.323)
K (0.677, 0.349, 0.910)
K (0.823, 0.590, 0.151)
K (0.849, 0.177, 0.410)
K (0.910, 0.677, 0.349)
K (0.921, 0.921, 0.921)
In (0.007, 0.728, 0.423)
In (0.039, 0.461, 0.250)
In (0.077, 0.772, 0.493)
In (0.200, 0.200, 0.200)
In (0.228, 0.507, 0.923)
In (0.250, 0.039, 0.461)
In (0.272, 0.577, 0.993)
In (0.300, 0.300, 0.300)
In (0.423, 0.007, 0.728)
In (0.461, 0.250, 0.039)
In (0.493, 0.077, 0.772)
In (0.507, 0.923, 0.228)
In (0.539, 0.750, 0.961)
In (0.577, 0.993, 0.272)
In (0.700, 0.700, 0.700)
In (0.728, 0.423, 0.007)
In (0.750, 0.961, 0.539)
In (0.772, 0.493, 0.077)
In (0.800, 0.800, 0.800)
In (0.923, 0.228, 0.507)
In (0.961, 0.539, 0.750)
In (0.993, 0.272, 0.577)

Main lines, in order of falling intensity (2θ = 10–90°):
2θ (°), intensity
10.74, 1000
31.74, 763
30.82, 518
10.39, 474
12.31, 317
37.49, 241

---

[5]
# KLaIn6
Theoretical X-ray diffraction stick pattern, a wavelength of 1.5418 Å. Input: a PBE-relaxed structure.

Crystal structure
Cell lengths 5.040, 6.775, 6.847 Å; angles 90.00, 90.00, 90.00 degrees
Element x y z (fractional)
K (0.000, 0.000, 0.000)
La (0.500, 0.500, 0.215)
In (0.000, 0.267, 0.461)
In (0.000, 0.500, 0.876)
In (0.000, 0.733, 0.461)
In (0.500, 0.000, 0.356)
In (0.500, 0.248, 0.748)
In (0.500, 0.752, 0.748)

Main lines, in order of falling intensity (2θ = 10–90°):
2θ (°), intensity
34.49, 1000
31.59, 544
35.63, 350
29.42, 299
34.32, 193
63.27, 163

---

[6]
# KLi2In8
Theoretical X-ray diffraction stick pattern, a wavelength of 1.5418 Å. Input: a PBE-relaxed structure.

Crystal structure
Cell lengths 5.627, 5.627, 11.010 Å; angles 90.00, 90.00, 113.38 degrees
Element x y z (fractional)
K (0.000, 0.000, 0.000)
Li (0.000, 0.000, 0.356)
Li (0.000, 0.000, 0.644)
In (0.000, 0.500, 0.212)
In (0.000, 0.500, 0.500)
In (0.000, 0.500, 0.788)
In (0.500, 0.000, 0.212)
In (0.500, 0.000, 0.500)
In (0.500, 0.000, 0.788)
In (0.500, 0.500, 0.347)
In (0.500, 0.500, 0.653)

Main lines, in order of falling intensity (2θ = 10–90°):
2θ (°), intensity
34.74, 1000
30.91, 942
38.07, 532
18.87, 406
38.28, 381
55.09, 350

---

[7]
# KLiIn11
Theoretical X-ray diffraction stick pattern, a wavelength of 1.5418 Å. Input: a PBE-relaxed structure.

Crystal structure
Cell lengths 8.243, 8.243, 8.099 Å; angles 96.66, 96.66, 136.45 degrees
Element x y z (fractional)
K (0.000, 0.000, 0.000)
Li (0.500, 0.500, 0.500)
In (0.000, 0.000, 0.500)
In (0.000, 0.500, 0.000)
In (0.019, 0.368, 0.365)
In (0.296, 0.505, 0.783)
In (0.368, 0.019, 0.365)
In (0.495, 0.704, 0.217)
In (0.500, 0.000, 0.000)
In (0.505, 0.296, 0.783)
In (0.632, 0.981, 0.635)
In (0.704, 0.495, 0.217)
In (0.981, 0.632, 0.635)

Main lines, in order of falling intensity (2θ = 10–90°):
2θ (°), intensity
33.02, 1000
37.71, 441
29.29, 428
32.22, 399
36.33, 237
37.12, 233

---

[8]
# K3Li2In7
Theoretical X-ray diffraction stick pattern, a wavelength of 1.5418 Å. Input: a PBE-relaxed structure.

Crystal structure
Cell lengths 10.481, 10.481, 10.481 Å; angles 35.65, 35.65, 35.65 degrees
Element x y z (fractional)
K (0.000, 0.000, 0.000)
K (0.142, 0.142, 0.142)
K (0.858, 0.858, 0.858)
Li (0.334, 0.334, 0.334)
Li (0.666, 0.666, 0.666)
In (0.075, 0.580, 0.580)
In (0.420, 0.420, 0.925)
In (0.420, 0.925, 0.420)
In (0.500, 0.500, 0.500)
In (0.580, 0.075, 0.580)
In (0.580, 0.580, 0.075)
In (0.925, 0.420, 0.420)

Main lines, in order of falling intensity (2θ = 10–90°):
2θ (°), intensity
33.37, 1000
32.36, 939
35.73, 866
18.10, 825
16.23, 755
38.85, 739

---

[9]
# KLiInS2
Theoretical X-ray diffraction stick pattern, a wavelength of 1.5418 Å. Input: a PBE-relaxed structure.

Crystal structure
Cell lengths 7.224, 5.358, 7.159 Å; angles 90.00, 95.51, 90.00 degrees
Element x y z (fractional)
K (0.000, 0.236, 0.250)
K (0.000, 0.764, 0.750)
Li (0.500, 0.000, 0.000)
Li (0.500, 0.000, 0.500)
In (0.500, 0.439, 0.250)
In (0.500, 0.561, 0.750)
S (0.272, 0.291, 0.911)
S (0.272, 0.709, 0.411)
S (0.728, 0.291, 0.589)
S (0.728, 0.709, 0.089)

Main lines, in order of falling intensity (2θ = 10–90°):
2θ (°), intensity
20.69, 1000
12.31, 904
16.55, 810
33.62, 627
31.55, 426
43.40, 381

---

[10]
# KLiInSe2
Theoretical X-ray diffraction stick pattern, a wavelength of 1.5418 Å. Input: a PBE-relaxed structure.

Crystal structure
Cell lengths 8.067, 8.067, 6.081 Å; angles 90.00, 90.00, 130.61 degrees
Element x y z (fractional)
K (0.250, 0.750, 0.752)
K (0.750, 0.250, 0.248)
Li (0.000, 0.000, 0.500)
Li (0.500, 0.500, 0.500)
In (0.250, 0.250, 0.000)
In (0.750, 0.750, 0.000)
Se (0.125, 0.875, 0.239)
Se (0.375, 0.625, 0.239)
Se (0.625, 0.375, 0.761)
Se (0.875, 0.125, 0.761)

Main lines, in order of falling intensity (2θ = 10–90°):
2θ (°), intensity
26.89, 1000
39.94, 681
14.57, 664
18.96, 592
36.21, 501
38.47, 456

---

[11]
# KLiTlIn2
Theoretical X-ray diffraction stick pattern, a wavelength of 1.5418 Å. Input: a PBE-relaxed structure.

Crystal structure
Cell lengths 5.256, 5.256, 5.416 Å; angles 90.00, 90.00, 90.00 degrees
Element x y z (fractional)
K (0.000, 0.000, 0.000)
Li (0.500, 0.500, 0.500)
Tl (0.500, 0.500, 0.000)
In (0.000, 0.500, 0.500)
In (0.500, 0.000, 0.500)

Main lines, in order of falling intensity (2θ = 10–90°):
2θ (°), intensity
29.14, 1000
34.12, 344
58.05, 278
48.26, 256
16.87, 215
33.08, 187

---

[12]
# K3Mg3In8
Theoretical X-ray diffraction stick pattern, a wavelength of 1.5418 Å. Input: a PBE-relaxed structure.

Crystal structure
Cell lengths 9.546, 9.546, 9.546 Å; angles 149.45, 108.34, 79.87 degrees
Element x y z (fractional)
K (0.000, 0.000, 0.000)
K (0.295, 0.295, 0.000)
K (0.705, 0.705, 0.000)
Mg (0.312, 0.500, 0.812)
Mg (0.500, 0.000, 0.500)
Mg (0.688, 0.500, 0.188)
In (0.024, 0.664, 0.361)
In (0.152, 0.867, 0.285)
In (0.303, 0.664, 0.639)
In (0.419, 0.133, 0.285)
In (0.581, 0.867, 0.715)
In (0.697, 0.336, 0.361)
In (0.848, 0.133, 0.715)
In (0.976, 0.336, 0.639)

Main lines, in order of falling intensity (2θ = 10–90°):
2θ (°), intensity
29.85, 1000
30.13, 791
35.71, 716
15.86, 620
29.17, 531
24.32, 482